Record 1
Diffraction record for KRuRhCl6. The powder XRD pattern is simulated, not measured: it uses a crystal structure in Alexandria, relaxed with GGA-PBE and Cu Ka.

Top 8 peaks for 2θ = 5–70°, by angle:
d [Å]  I_rel
7.044  100
5.422  18
4.297  69
2.861  44
2.340  67
1.968  15
1.878  21
1.807  23

Cell and atoms:
a b c (Å): 6.261 6.261 7.044
angles (deg): 90.00 90.00 120.00
Fractional coordinates of all 9 atoms:
K (0.000, 0.000, 0.000)
Ru (0.667, 0.333, 0.500)
Rh (0.333, 0.667, 0.500)
Cl (0.361, 0.001, 0.314)
Cl (0.361, 0.360, 0.686)
Cl (0.640, 0.001, 0.686)
Cl (0.640, 0.639, 0.314)
Cl (0.999, 0.360, 0.314)
Cl (0.999, 0.639, 0.686)

Record 2
Diffraction record for Sc7Tl2Ga2. The powder XRD pattern is simulated, not measured: it uses a crystal structure in Alexandria, relaxed with GGA-PBE and Cu Ka.

Top 8 peaks for 2θ = 5–70°, by angle:
d [Å]  I_rel
7.454  48
4.207  89
3.203  100
3.064  35
2.834  50
2.367  75
2.294  83
1.878  41

Cell and atoms:
a b c (Å): 6.210 6.210 7.454
angles (deg): 90.00 90.00 110.31
Fractional coordinates of all 11 atoms:
Sc (0.000, 0.000, 0.000)
Sc (0.000, 0.500, 0.302)
Sc (0.000, 0.500, 0.698)
Sc (0.500, 0.000, 0.302)
Sc (0.500, 0.000, 0.698)
Sc (0.500, 0.500, 0.291)
Sc (0.500, 0.500, 0.709)
Tl (0.302, 0.698, 0.000)
Tl (0.698, 0.302, 0.000)
Ga (0.174, 0.174, 0.500)
Ga (0.826, 0.826, 0.500)

Record 3
Diffraction record for Sr2TlPt. The powder XRD pattern is simulated, not measured: it uses a crystal structure in Alexandria, relaxed with GGA-PBE and Cu Ka.

Top 8 peaks for 2θ = 5–70°, by angle:
d [Å]  I_rel
4.371  14
3.562  20
3.223  100
2.460  13
2.451  27
2.139  33
2.133  11
1.779  12

Cell and atoms:
a b c (Å): 7.417 4.266 9.077
angles (deg): 90.00 105.64 90.00
Fractional coordinates of all 8 atoms:
Sr (0.232, 0.000, 0.198)
Sr (0.268, 0.500, 0.802)
Sr (0.732, 0.500, 0.198)
Sr (0.768, 0.000, 0.802)
Tl (0.000, 0.000, 0.500)
Tl (0.500, 0.500, 0.500)
Pt (0.000, 0.500, 0.000)
Pt (0.500, 0.000, 0.000)

Record 4
Diffraction record for MgSn2P2O10. The powder XRD pattern is simulated, not measured: it uses a crystal structure in Alexandria, relaxed with GGA-PBE and Cu Ka.

Top 8 peaks for 2θ = 5–70°, by angle:
d [Å]  I_rel
5.925  90
4.184  32
3.527  27
3.371  13
3.029  56
2.961  100
2.093  32
1.583  14

Cell and atoms:
a b c (Å): 9.141 7.217 10.417
angles (deg): 59.18 42.69 78.13
Fractional coordinates of all 30 atoms:
Mg (0.000, 0.000, 0.000)
Mg (0.250, 0.250, 0.250)
Sn (0.366, 0.368, 0.413)
Sn (0.368, 0.366, 0.853)
Sn (0.397, 0.837, 0.882)
Sn (0.837, 0.397, 0.884)
P (0.187, 0.776, 0.724)
P (0.526, 0.937, 0.063)
P (0.776, 0.187, 0.313)
P (0.937, 0.526, 0.474)
O (0.017, 0.277, 0.182)
O (0.068, 0.726, 0.233)
O (0.080, 0.355, 0.454)
O (0.121, 0.301, 0.724)
O (0.138, 0.796, 0.895)
O (0.277, 0.017, 0.524)
O (0.301, 0.121, 0.854)
O (0.355, 0.080, 0.112)
O (0.361, 0.640, 0.649)
O (0.396, 0.526, 0.949)
O (0.410, 0.710, 0.285)
O (0.526, 0.396, 0.129)
O (0.601, 0.900, 0.889)
O (0.640, 0.361, 0.350)
O (0.654, 0.965, 0.540)
O (0.710, 0.410, 0.596)
O (0.726, 0.068, 0.973)
O (0.796, 0.138, 0.170)
O (0.900, 0.601, 0.610)
O (0.965, 0.654, 0.840)

Record 5
Diffraction record for Tb3SiI3. The powder XRD pattern is simulated, not measured: it uses a crystal structure in Alexandria, relaxed with GGA-PBE and Cu Ka.

Top 8 peaks for 2θ = 5–70°, by angle:
d [Å]  I_rel
3.235  8
3.063  100
2.939  9
2.220  10
2.174  22
2.156  21
2.119  14
1.742  12

Cell and atoms:
a b c (Å): 8.879 4.238 12.236
angles (deg): 90.00 90.69 90.00
Fractional coordinates of all 14 atoms:
Tb (0.097, 0.250, 0.386)
Tb (0.118, 0.250, 0.839)
Tb (0.319, 0.750, 0.621)
Tb (0.681, 0.250, 0.379)
Tb (0.882, 0.750, 0.161)
Tb (0.903, 0.750, 0.614)
Si (0.116, 0.250, 0.617)
Si (0.884, 0.750, 0.383)
I (0.135, 0.250, 0.119)
I (0.371, 0.750, 0.875)
I (0.385, 0.750, 0.368)
I (0.615, 0.250, 0.632)
I (0.629, 0.250, 0.125)
I (0.865, 0.750, 0.881)

Record 6
Diffraction record for RbU4Ag3Te12. The powder XRD pattern is simulated, not measured: it uses a crystal structure in Alexandria, relaxed with GGA-PBE and Cu Ka.

Top 8 peaks for 2θ = 5–70°, by angle:
d [Å]  I_rel
5.581  36
3.946  62
3.530  57
2.983  39
2.790  50
2.496  35
2.278  100
1.914  30

Cell and atoms:
a b c (Å): 9.666 9.666 9.666
angles (deg): 109.47 109.47 109.47
Fractional coordinates of all 20 atoms:
Rb (0.000, 0.000, 0.000)
U (0.000, 0.000, 0.500)
U (0.000, 0.500, 0.000)
U (0.500, 0.000, 0.000)
U (0.500, 0.500, 0.500)
Ag (0.000, 0.500, 0.500)
Ag (0.500, 0.000, 0.500)
Ag (0.500, 0.500, 0.000)
Te (0.133, 0.823, 0.311)
Te (0.177, 0.311, 0.488)
Te (0.177, 0.689, 0.867)
Te (0.311, 0.133, 0.823)
Te (0.311, 0.488, 0.177)
Te (0.488, 0.177, 0.311)
Te (0.512, 0.823, 0.689)
Te (0.689, 0.512, 0.823)
Te (0.689, 0.867, 0.177)
Te (0.823, 0.311, 0.133)
Te (0.823, 0.689, 0.512)
Te (0.867, 0.177, 0.689)

Record 7
Diffraction record for TmGa2W. The powder XRD pattern is simulated, not measured: it uses a crystal structure in Alexandria, relaxed with GGA-PBE and Cu Ka.

Top 8 peaks for 2θ = 5–70°, by angle:
d [Å]  I_rel
4.722  31
2.571  19
2.452  100
2.361  28
2.103  62
1.921  10
1.509  22
1.466  17

Cell and atoms:
a b c (Å): 3.019 3.019 28.332
angles (deg): 90.00 90.00 120.00
Fractional coordinates of all 12 atoms:
Tm (0.000, 0.000, 0.000)
Tm (0.333, 0.667, 0.667)
Tm (0.667, 0.333, 0.333)
Ga (0.000, 0.000, 0.243)
Ga (0.000, 0.000, 0.757)
Ga (0.333, 0.667, 0.424)
Ga (0.333, 0.667, 0.909)
Ga (0.667, 0.333, 0.091)
Ga (0.667, 0.333, 0.576)
W (0.000, 0.000, 0.500)
W (0.333, 0.667, 0.167)
W (0.667, 0.333, 0.833)

Record 8
Diffraction record for Nd2YSn2Hg2. The powder XRD pattern is simulated, not measured: it uses a crystal structure in Alexandria, relaxed with GGA-PBE and Cu Ka.

Top 8 peaks for 2θ = 5–70°, by angle:
d [Å]  I_rel
4.611  17
2.918  100
2.497  77
2.196  15
1.897  29
1.798  15
1.511  28
1.442  14

Cell and atoms:
a b c (Å): 9.663 9.663 9.663
angles (deg): 29.96 29.96 29.96
Fractional coordinates of all 7 atoms:
Nd (0.130, 0.130, 0.130)
Nd (0.870, 0.870, 0.870)
Y (0.000, 0.000, 0.000)
Sn (0.274, 0.274, 0.274)
Sn (0.726, 0.726, 0.726)
Hg (0.426, 0.426, 0.426)
Hg (0.574, 0.574, 0.574)

Record 9
Diffraction record for Rb3CeU2Te6. The powder XRD pattern is simulated, not measured: it uses a crystal structure in Alexandria, relaxed with GGA-PBE and Cu Ka.

Top 8 peaks for 2θ = 5–70°, by angle:
d [Å]  I_rel
8.608  35
3.383  100
2.703  15
2.505  36
2.293  37
1.898  20
1.569  12
1.462  17

Cell and atoms:
a b c (Å): 7.943 7.943 9.007
angles (deg): 98.46 98.46 120.00
Fractional coordinates of all 12 atoms:
Rb (0.000, 0.000, 0.000)
Rb (0.335, 0.665, 0.000)
Rb (0.665, 0.335, 0.000)
Ce (0.500, 0.500, 0.500)
U (0.167, 0.833, 0.500)
U (0.833, 0.167, 0.500)
Te (0.093, 0.432, 0.297)
Te (0.228, 0.228, 0.703)
Te (0.432, 0.093, 0.297)
Te (0.568, 0.907, 0.703)
Te (0.772, 0.772, 0.297)
Te (0.907, 0.568, 0.703)

Record 10
Diffraction record for TaMn2Ag. The powder XRD pattern is simulated, not measured: it uses a crystal structure in Alexandria, relaxed with GGA-PBE and Cu Ka.

Top 8 peaks for 2θ = 5–70°, by angle:
d [Å]  I_rel
3.471  31
2.271  100
2.119  18
1.902  26
1.668  8
1.457  5
1.416  19
1.345  8

Cell and atoms:
a b c (Å): 3.804 3.804 8.477
angles (deg): 90.00 90.00 90.00
Fractional coordinates of all 8 atoms:
Ta (0.000, 0.000, 0.000)
Ta (0.500, 0.500, 0.500)
Mn (0.000, 0.000, 0.500)
Mn (0.000, 0.500, 0.250)
Mn (0.500, 0.000, 0.750)
Mn (0.500, 0.500, 0.000)
Ag (0.000, 0.500, 0.750)
Ag (0.500, 0.000, 0.250)

Record 11
Diffraction record for Er5Co19P12. The powder XRD pattern is simulated, not measured: it uses a crystal structure in Alexandria, relaxed with GGA-PBE and Cu Ka.

Top 8 peaks for 2θ = 5–70°, by angle:
d [Å]  I_rel
3.449  11
2.988  12
2.510  12
2.314  100
2.259  46
1.829  21
1.725  20
1.543  11

Cell and atoms:
a b c (Å): 11.953 11.953 3.657
angles (deg): 90.00 90.00 120.00
Fractional coordinates of all 36 atoms:
Er (0.000, 0.187, 0.000)
Er (0.187, 0.000, 0.000)
Er (0.333, 0.667, 0.500)
Er (0.667, 0.333, 0.500)
Er (0.813, 0.813, 0.000)
Co (0.000, 0.000, 0.500)
Co (0.000, 0.552, 0.500)
Co (0.000, 0.715, 0.000)
Co (0.126, 0.484, 0.000)
Co (0.178, 0.801, 0.500)
Co (0.199, 0.377, 0.500)
Co (0.285, 0.285, 0.000)
Co (0.358, 0.874, 0.000)
Co (0.377, 0.199, 0.500)
Co (0.448, 0.448, 0.500)
Co (0.484, 0.126, 0.000)
Co (0.516, 0.642, 0.000)
Co (0.552, 0.000, 0.500)
Co (0.623, 0.822, 0.500)
Co (0.642, 0.516, 0.000)
Co (0.715, 0.000, 0.000)
Co (0.801, 0.178, 0.500)
Co (0.822, 0.623, 0.500)
Co (0.874, 0.358, 0.000)
P (0.000, 0.368, 0.500)
P (0.000, 0.820, 0.500)
P (0.166, 0.686, 0.000)
P (0.180, 0.180, 0.500)
P (0.314, 0.480, 0.000)
P (0.368, 0.000, 0.500)
P (0.480, 0.314, 0.000)
P (0.520, 0.834, 0.000)
P (0.632, 0.632, 0.500)
P (0.686, 0.166, 0.000)
P (0.820, 0.000, 0.500)
P (0.834, 0.520, 0.000)

Record 12
Diffraction record for Zn3Ga3Ag. The powder XRD pattern is simulated, not measured: it uses a crystal structure in Alexandria, relaxed with GGA-PBE and Cu Ka.

Top 8 peaks for 2θ = 5–70°, by angle:
d [Å]  I_rel
3.225  54
2.477  100
2.378  29
2.216  42
2.206  27
2.070  77
2.020  53
1.913  29

Cell and atoms:
a b c (Å): 6.619 6.619 6.619
angles (deg): 70.88 70.88 70.88
Fractional coordinates of all 14 atoms:
Zn (0.122, 0.502, 0.791)
Zn (0.209, 0.878, 0.498)
Zn (0.498, 0.209, 0.878)
Zn (0.502, 0.791, 0.122)
Zn (0.791, 0.122, 0.502)
Zn (0.878, 0.498, 0.209)
Ga (0.171, 0.587, 0.326)
Ga (0.326, 0.171, 0.587)
Ga (0.413, 0.674, 0.829)
Ga (0.587, 0.326, 0.171)
Ga (0.674, 0.829, 0.413)
Ga (0.829, 0.413, 0.674)
Ag (0.101, 0.101, 0.101)
Ag (0.899, 0.899, 0.899)

> Number 9 is which compound?

Rb3CeU2Te6

> Number 11 is which compound?

Er5Co19P12